Structure and computed powder diffractogram of La4Ru (a DFT-relaxed cell (GGA-PBE, the Materials Project); Cu Kα).
Neutral-atom scattering factors, no anomalous dispersion.

Top 10 peaks for 2θ from 10° to 90°, low angle first:
- 3.983 Å, 22.3 deg, intensity 11
- 3.252 Å, 27.4 deg, intensity 100
- 2.816 Å, 31.8 deg, intensity 33
- 2.584 Å, 34.7 deg, intensity 13
- 2.168 Å, 41.7 deg, intensity 13
- 1.991 Å, 45.6 deg, intensity 50
- 1.698 Å, 54.0 deg, intensity 40
- 1.292 Å, 73.3 deg, intensity 14
- 1.259 Å, 75.5 deg, intensity 8
- 1.150 Å, 84.2 deg, intensity 14

Atomic structure:
Cell: 11.265 11.265 11.265 Å, 90.00 90.00 90.00°
Space group Fd-3m (No. 227, origin choice 2)
One atom of each set of equivalent atoms:
La  0.010  0.010  0.240 x32
Ru  0.125  0.125  0.625 x8

Structure and computed powder diffractogram of NbCuO3 (a DFT-relaxed cell (GGA-PBE, the Materials Project); Cu Kα).
Neutral-atom scattering factors, no anomalous dispersion.

Top 10 peaks for 2θ from 10° to 90°, low angle first:
- 6.499 Å, 13.6 deg, intensity 58
- 3.250 Å, 27.4 deg, intensity 100
- 2.823 Å, 31.7 deg, intensity 41
- 2.789 Å, 32.1 deg, intensity 41
- 2.700 Å, 33.2 deg, intensity 34
- 2.432 Å, 37.0 deg, intensity 16
- 2.167 Å, 41.7 deg, intensity 28
- 1.798 Å, 50.8 deg, intensity 17
- 1.719 Å, 53.3 deg, intensity 15
- 1.460 Å, 63.8 deg, intensity 19

Atomic structure:
```
data_NbCuO3
_chemical_formula_sum 'Nb8 Cu8 O24'
_cell_length_a 9.729
_cell_length_b 8.735
_cell_length_c 6.872
_cell_angle_alpha 90.00
_cell_angle_beta 90.74
_cell_angle_gamma 90.00
_symmetry_space_group_name_H-M 'C 1 2/m 1'
_symmetry_Int_Tables_number 12
loop_
_symmetry_equiv_pos_as_xyz
'x,y,z'
'-x,-y,-z'
'-x,y,-z'
'x,-y,z'
'x+1/2,y+1/2,z'
'-x+1/2,-y+1/2,-z'
'-x+1/2,y+1/2,-z'
'x+1/2,-y+1/2,z'
loop_
_atom_site_label
_atom_site_fract_x
_atom_site_fract_y
_atom_site_fract_z
_atom_site_occupancy
Nb1 0.000 0.201 0.000 1
Nb2 0.249 0.000 0.778 1
Cu1 0.000 0.153 0.500 1
Cu2 0.216 0.000 0.296 1
O1 0.092 0.162 0.741 1
O2 0.129 0.000 0.057 1
O3 0.132 0.338 0.107 1
O4 0.194 0.500 0.474 1
```

Structure and computed powder diffractogram of RbTl3O5 (a DFT-relaxed cell (GGA-PBE, the Materials Project); Cu Kα).
Neutral-atom scattering factors, no anomalous dispersion.

Top 10 peaks for 2θ from 10° to 90°, low angle first:
- 8.707 Å, 10.2 deg, intensity 100
- 3.349 Å, 26.6 deg, intensity 24
- 3.272 Å, 27.3 deg, intensity 56
- 2.898 Å, 30.9 deg, intensity 33
- 2.881 Å, 31.0 deg, intensity 76
- 2.840 Å, 31.5 deg, intensity 25
- 2.724 Å, 32.9 deg, intensity 59
- 2.406 Å, 37.4 deg, intensity 26
- 1.719 Å, 53.3 deg, intensity 19
- 1.664 Å, 55.2 deg, intensity 39

Atomic structure:
```
data_RbTl3O5
_chemical_formula_sum 'Rb4 Tl12 O20'
_cell_length_a 9.987
_cell_length_b 3.492
_cell_length_c 17.775
_cell_angle_alpha 90.00
_cell_angle_beta 90.00
_cell_angle_gamma 90.00
_symmetry_space_group_name_H-M 'P n m a'
_symmetry_Int_Tables_number 62
loop_
_symmetry_equiv_pos_as_xyz
'x,y,z'
'-x,-y,-z'
'-x+1/2,-y,z+1/2'
'x+1/2,y,-z+1/2'
'x+1/2,-y+1/2,-z+1/2'
'-x+1/2,y+1/2,z+1/2'
'-x,y+1/2,-z'
'x,-y+1/2,z'
loop_
_atom_site_label
_atom_site_fract_x
_atom_site_fract_y
_atom_site_fract_z
_atom_site_occupancy
Rb1 0.001 0.250 0.118 1
Tl1 0.140 0.750 0.353 1
Tl2 0.154 0.250 0.522 1
Tl3 0.157 0.750 0.696 1
O1 0.003 0.750 0.576 1
O2 0.023 0.250 0.731 1
O3 0.238 0.750 0.132 1
O4 0.242 0.250 0.964 1
O5 0.247 0.750 0.810 1
```

Structure and computed powder diffractogram of Zn4As3C3N3O13 (a DFT-relaxed cell (GGA-PBE, the Materials Project); Cu Kα).
Neutral-atom scattering factors, no anomalous dispersion.

Top 10 peaks for 2θ from 10° to 90°, low angle first:
- 7.949 Å, 11.1 deg, intensity 100
- 7.874 Å, 11.2 deg, intensity 53
- 4.652 Å, 19.1 deg, intensity 22
- 4.502 Å, 19.7 deg, intensity 18
- 3.793 Å, 23.5 deg, intensity 21
- 3.295 Å, 27.1 deg, intensity 18
- 3.191 Å, 28.0 deg, intensity 11
- 2.704 Å, 33.1 deg, intensity 10
- 2.668 Å, 33.6 deg, intensity 11
- 2.612 Å, 34.3 deg, intensity 10

Atomic structure:
```
data_Zn4As3C3N3O13
_chemical_formula_sum 'Zn8 As6 C6 N6 O26'
_cell_length_a 7.958
_cell_length_b 15.748
_cell_length_c 7.960
_cell_angle_alpha 90.00
_cell_angle_beta 92.83
_cell_angle_gamma 90.00
_symmetry_space_group_name_H-M 'P 1 21 1'
_symmetry_Int_Tables_number 4
loop_
_symmetry_equiv_pos_as_xyz
'x,y,z'
'-x,y+1/2,-z'
loop_
_atom_site_label
_atom_site_fract_x
_atom_site_fract_y
_atom_site_fract_z
_atom_site_occupancy
Zn1 0.084 0.000 0.301 1
Zn2 0.091 0.132 0.621 1
Zn3 0.196 0.658 0.699 1
Zn4 0.222 0.492 0.430 1
As1 0.018 0.823 0.501 1
As2 0.098 0.555 0.049 1
As3 0.436 0.084 0.411 1
C1 0.213 0.272 0.067 1
C2 0.369 0.942 0.867 1
C3 0.450 0.782 0.280 1
N1 0.080 0.295 0.015 1
N2 0.412 0.011 0.906 1
N3 0.478 0.807 0.418 1
O1 0.029 0.250 0.654 1
O2 0.041 0.476 0.908 1
O3 0.062 0.571 0.552 1
O4 0.077 0.086 0.847 1
O5 0.108 0.774 0.674 1
O6 0.151 0.900 0.429 1
O7 0.167 0.372 0.447 1
O8 0.172 0.640 0.938 1
O9 0.249 0.522 0.195 1
O10 0.290 0.061 0.252 1
O11 0.329 0.117 0.583 1
O12 0.432 0.664 0.646 1
O13 0.448 0.496 0.536 1
```

Structure and computed powder diffractogram of DyNpRu2 (a DFT-relaxed cell (GGA-PBE, the Materials Project); Cu Kα).
Neutral-atom scattering factors, no anomalous dispersion.

Top 10 peaks for 2θ from 10° to 90°, low angle first:
- 3.911 Å, 22.7 deg, intensity 3
- 3.387 Å, 26.3 deg, intensity 12
- 2.395 Å, 37.6 deg, intensity 100
- 2.042 Å, 44.4 deg, intensity 2
- 1.956 Å, 46.4 deg, intensity 4
- 1.694 Å, 54.2 deg, intensity 17
- 1.515 Å, 61.2 deg, intensity 5
- 1.383 Å, 67.8 deg, intensity 36
- 1.197 Å, 80.1 deg, intensity 11
- 1.129 Å, 86.1 deg, intensity 3

Atomic structure:
```
data_DyNpRu2
_chemical_formula_sum 'Dy4 Np4 Ru8'
_cell_length_a 6.774
_cell_length_b 6.774
_cell_length_c 6.774
_cell_angle_alpha 90.00
_cell_angle_beta 90.00
_cell_angle_gamma 90.00
_symmetry_space_group_name_H-M 'F m -3 m'
_symmetry_Int_Tables_number 225
_symmetry_space_group_name_Hall '-F 4 2 3'
loop_
_atom_site_label
_atom_site_fract_x
_atom_site_fract_y
_atom_site_fract_z
_atom_site_occupancy
Dy1 0.000 0.000 0.000 1
Np1 0.000 0.000 0.500 1
Ru1 0.250 0.250 0.250 1
```

Structure and computed powder diffractogram of CaTcO3 (a DFT-relaxed cell (GGA-PBE, the Materials Project); Cu Kα).
Neutral-atom scattering factors, no anomalous dispersion.

Top 10 peaks for 2θ from 10° to 90°, low angle first:
- 3.938 Å, 22.6 deg, intensity 45
- 2.785 Å, 32.1 deg, intensity 100
- 1.969 Å, 46.1 deg, intensity 40
- 1.763 Å, 51.9 deg, intensity 9
- 1.760 Å, 52.0 deg, intensity 9
- 1.611 Å, 57.2 deg, intensity 9
- 1.607 Å, 57.3 deg, intensity 28
- 1.394 Å, 67.2 deg, intensity 11
- 1.391 Å, 67.3 deg, intensity 11
- 1.246 Å, 76.4 deg, intensity 8

Atomic structure:
```
data_CaTcO3
_chemical_formula_sum 'Ca2 Tc2 O6'
_cell_length_a 5.575
_cell_length_b 5.563
_cell_length_c 3.939
_cell_angle_alpha 90.00
_cell_angle_beta 90.20
_cell_angle_gamma 90.00
_symmetry_space_group_name_H-M 'C 1 m 1'
_symmetry_Int_Tables_number 8
loop_
_symmetry_equiv_pos_as_xyz
'x,y,z'
'x,-y,z'
'x+1/2,y+1/2,z'
'x+1/2,-y+1/2,z'
loop_
_atom_site_label
_atom_site_fract_x
_atom_site_fract_y
_atom_site_fract_z
_atom_site_occupancy
Ca1 0.000 0.000 0.000 1
Tc1 0.003 0.500 0.512 1
O1 0.006 0.500 0.012 1
O2 0.253 0.249 0.515 1
```

Structure and computed powder diffractogram of ZrCrAgS4 (a DFT-relaxed cell (GGA-PBE, the Materials Project); Cu Kα).
Neutral-atom scattering factors, no anomalous dispersion.

Top 10 peaks for 2θ from 10° to 90°, low angle first:
- 5.613 Å, 15.8 deg, intensity 27
- 5.466 Å, 16.2 deg, intensity 44
- 3.496 Å, 25.5 deg, intensity 27
- 3.127 Å, 28.5 deg, intensity 53
- 3.069 Å, 29.1 deg, intensity 32
- 2.259 Å, 39.9 deg, intensity 100
- 2.221 Å, 40.6 deg, intensity 49
- 2.182 Å, 41.4 deg, intensity 35
- 1.817 Å, 50.2 deg, intensity 23
- 1.783 Å, 51.2 deg, intensity 42

Atomic structure:
```
data_ZrCrAgS4
_chemical_formula_sum 'Zr2 Cr2 Ag2 S8'
_cell_length_a 6.142
_cell_length_b 3.634
_cell_length_c 12.845
_cell_angle_alpha 90.00
_cell_angle_beta 91.95
_cell_angle_gamma 90.00
_symmetry_space_group_name_H-M 'P 1 2/m 1'
_symmetry_Int_Tables_number 10
loop_
_symmetry_equiv_pos_as_xyz
'x,y,z'
'-x,-y,-z'
'-x,y,-z'
'x,-y,z'
loop_
_atom_site_label
_atom_site_fract_x
_atom_site_fract_y
_atom_site_fract_z
_atom_site_occupancy
Zr1 0.020 0.000 0.247 1
Cr1 0.484 0.500 0.256 1
Ag1 0.000 0.000 0.500 1
Ag2 0.500 0.500 0.000 1
S1 0.167 0.500 0.131 1
S2 0.175 0.500 0.642 1
S3 0.353 0.000 0.366 1
S4 0.365 0.000 0.847 1
```

Structure and computed powder diffractogram of Cd8Ag5 (a DFT-relaxed cell (GGA-PBE, the Materials Project); Cu Kα).
Neutral-atom scattering factors, no anomalous dispersion.

Top 10 peaks for 2θ from 10° to 90°, low angle first:
- 2.937 Å, 30.4 deg, intensity 6
- 2.719 Å, 32.9 deg, intensity 5
- 2.398 Å, 37.5 deg, intensity 100
- 2.169 Å, 41.6 deg, intensity 5
- 1.696 Å, 54.1 deg, intensity 9
- 1.500 Å, 61.8 deg, intensity 4
- 1.469 Å, 63.3 deg, intensity 6
- 1.385 Å, 67.7 deg, intensity 20
- 1.252 Å, 76.0 deg, intensity 10
- 1.199 Å, 80.0 deg, intensity 4

Atomic structure:
```
data_Cd8Ag5
_chemical_formula_sum 'Cd32 Ag20'
_cell_length_a 10.174
_cell_length_b 10.174
_cell_length_c 10.174
_cell_angle_alpha 90.00
_cell_angle_beta 90.00
_cell_angle_gamma 90.00
_symmetry_space_group_name_H-M 'I -4 3 m'
_symmetry_Int_Tables_number 217
_symmetry_space_group_name_Hall 'I -4 2 3'
loop_
_atom_site_label
_atom_site_fract_x
_atom_site_fract_y
_atom_site_fract_z
_atom_site_occupancy
Cd1 0.036 0.313 0.313 1
Cd2 0.109 0.109 0.109 1
Ag1 0.000 0.000 0.357 1
Ag2 0.173 0.173 0.827 1
```